No. 1
TaGaO4: computed powder XRD pattern (λ = 1.5418 Å (Cu Kα)), based on a DFT-relaxed cell (GGA-PBE, the Materials Project).
Lines closer than 0.1° are merged.

Top 12 peaks for 2θ = 15–90°, by angle:
- 2θ 17.7, 5.008 Å, I 20
- 2θ 24.7, 3.600 Å, I 39
- 2θ 30.6, 2.923 Å, I 100
- 2θ 35.9, 2.504 Å, I 15
- 2θ 36.5, 2.461 Å, I 21
- 2θ 44.1, 2.056 Å, I 15
- 2θ 52.4, 1.747 Å, I 14
- 2θ 53.7, 1.708 Å, I 16
- 2θ 54.1, 1.694 Å, I 22
- 2θ 61.2, 1.514 Å, I 15
- 2θ 64.9, 1.438 Å, I 20
- 2θ 65.1, 1.433 Å, I 14

Atomic structure:
```
TaGaO4
1.0
5.0079 0.0000 0.0000
0.0000 4.6710 0.0000
0.0000 0.0000 5.6509
Ta Ga O
2 2 8
Direct
0.0000 0.0000 0.0000
0.0000 0.5000 0.5000
0.5000 0.0000 0.6503
0.5000 0.5000 0.1503
0.1684 0.2268 0.7047
0.1684 0.2732 0.2047
0.3231 0.7272 0.4304
0.3231 0.7728 0.9304
0.6769 0.2272 0.9304
0.6769 0.2728 0.4304
0.8316 0.7268 0.2047
0.8316 0.7732 0.7047
```

No. 2
GdSi3Ni8: computed powder XRD pattern (λ = 1.5418 Å (Cu Kα)), based on a DFT-relaxed cell (GGA-PBE, the Materials Project).
Lines closer than 0.1° are merged.

Top 12 peaks for 2θ = 15–90°, by angle:
- 2θ 30.9, 2.895 Å, I 39
- 2θ 36.4, 2.468 Å, I 26
- 2θ 37.1, 2.422 Å, I 17
- 2θ 40.6, 2.223 Å, I 32
- 2θ 40.8, 2.211 Å, I 27
- 2θ 41.2, 2.189 Å, I 40
- 2θ 41.4, 2.180 Å, I 48
- 2θ 41.7, 2.167 Å, I 100
- 2θ 43.8, 2.067 Å, I 23
- 2θ 44.1, 2.053 Å, I 17
- 2θ 47.6, 1.910 Å, I 16
- 2θ 48.9, 1.861 Å, I 16

Atomic structure:
```
GdSi3Ni8
1.0
3.1630 -6.8461 0.0000
3.1630 6.8461 0.0000
-3.0139 0.0000 6.8576
Gd Si Ni
2 6 16
Direct
0.1313 0.8687 0.7500
0.8687 0.1313 0.2500
0.0000 0.5000 0.0000
0.2231 0.3136 0.6744
0.3136 0.2231 0.1744
0.5000 0.0000 0.5000
0.6864 0.7769 0.8256
0.7769 0.6864 0.3256
0.0609 0.2114 0.9305
0.0673 0.6489 0.3298
0.2114 0.0609 0.4305
0.3029 0.6385 0.5794
0.3511 0.9327 0.1702
0.3615 0.6971 0.9206
0.3770 0.6230 0.2500
0.5000 0.5000 0.0000
0.5000 0.5000 0.5000
0.6230 0.3770 0.7500
0.6385 0.3029 0.0794
0.6489 0.0673 0.8298
0.6971 0.3615 0.4206
0.7886 0.9391 0.5695
0.9327 0.3511 0.6702
0.9391 0.7886 0.0695
```

No. 3
Ti2N2O: computed powder XRD pattern (λ = 1.5418 Å (Cu Kα)), based on a DFT-relaxed cell (GGA-PBE, the Materials Project).
Lines closer than 0.1° are merged.

Top 12 peaks for 2θ = 15–90°, by angle:
- 2θ 22.9, 3.877 Å, I 22
- 2θ 32.7, 2.741 Å, I 100
- 2θ 37.9, 2.376 Å, I 9
- 2θ 38.0, 2.370 Å, I 5
- 2θ 40.3, 2.239 Å, I 6
- 2θ 44.8, 2.025 Å, I 12
- 2θ 48.9, 1.863 Å, I 11
- 2θ 54.7, 1.679 Å, I 32
- 2θ 54.8, 1.676 Å, I 7
- 2θ 60.0, 1.541 Å, I 5
- 2θ 65.1, 1.433 Å, I 8
- 2θ 65.2, 1.431 Å, I 8

Atomic structure:
```
Ti2N2O
1.0
8.2156 0.0000 0.0000
-2.7181 7.7568 0.0000
-2.7379 -3.8828 6.7177
Ti N O
16 16 8
Direct
0.0000 0.0000 0.0000
0.0044 0.4930 0.4897
0.0547 0.2995 0.7442
0.2236 0.7616 0.9641
0.2647 0.4596 0.2155
0.2713 0.9799 0.7053
0.2986 0.2552 0.5437
0.4672 0.2117 0.2526
0.5041 0.9979 0.5017
0.5297 0.5132 0.0134
0.5584 0.8038 0.7512
0.7105 0.7453 0.4528
0.7576 0.0472 0.2868
0.7804 0.5578 0.7984
0.8055 0.2645 0.0509
0.9701 0.7139 0.2470
0.0274 0.7874 0.0532
0.0539 0.2744 0.4917
0.0632 0.5153 0.2772
0.2401 0.2448 0.2752
0.2415 0.9705 0.4517
0.2776 0.2329 0.7759
0.4655 0.7348 0.4598
0.4726 0.9575 0.2252
0.5249 0.4676 0.2351
0.5519 0.0568 0.7745
0.7378 0.2871 0.2689
0.7381 0.4590 0.9891
0.7472 0.7822 0.2287
0.7798 0.9997 0.0415
0.7896 0.7746 0.7262
0.9658 0.4987 0.7288
0.0073 0.2341 0.9499
0.2494 0.0152 0.9610
0.2847 0.5548 0.0064
0.2899 0.7377 0.7406
0.5021 0.5490 0.7642
0.5618 0.2850 0.5410
0.7917 0.0550 0.5558
0.9783 0.7469 0.5130
```

No. 4
CaPt2: computed powder XRD pattern (λ = 1.5418 Å (Cu Kα)), based on a DFT-relaxed cell (GGA-PBE, the Materials Project).
Lines closer than 0.1° are merged.

Top 12 peaks for 2θ = 15–90°, by angle:
- 2θ 19.9, 4.460 Å, I 93
- 2θ 32.8, 2.731 Å, I 3
- 2θ 38.7, 2.329 Å, I 100
- 2θ 40.5, 2.230 Å, I 88
- 2θ 47.1, 1.931 Å, I 35
- 2θ 51.6, 1.772 Å, I 24
- 2θ 62.5, 1.487 Å, I 33
- 2θ 68.7, 1.365 Å, I 34
- 2θ 72.4, 1.306 Å, I 18
- 2θ 81.8, 1.178 Å, I 12
- 2θ 82.9, 1.164 Å, I 35
- 2θ 87.5, 1.115 Å, I 8

Atomic structure:
```
CaPt2
1.0
0.0000 3.8621 3.8621
3.8621 0.0000 3.8621
3.8621 3.8621 0.0000
Ca Pt
2 4
Direct
0.1250 0.1250 0.1250
0.8750 0.8750 0.8750
0.0000 0.5000 0.5000
0.5000 0.0000 0.5000
0.5000 0.5000 0.0000
0.5000 0.5000 0.5000
```